Calculated XRD peak list of LaY3Te4 for Cu Kα, 1.54184 Å, from a crystal structure in Alexandria, relaxed with PBE.
Peak positions follow from Bragg's law for the DFT cell and can differ from measured ones.

Unit cell a=8.947 b=12.506 c=4.367 alpha=90.00 beta=90.00 gamma=90.00
Space group Cmmm (No. 65)
Symmetry-distinct sites (fractional):
La: 0.000 0.000 0.000 [2 per cell]
Y: 0.000 0.500 0.000 [2 per cell]
Y: 0.250 0.250 0.500 [4 per cell]
Te: 0.000 0.255 0.000 [4 per cell]
Te: 0.239 0.500 0.500 [4 per cell]

Main lines, in order of falling intensity (10 to 90 degrees two-theta):
- 28.56 deg, 3.126 Å, I 100
- 40.83 deg, 2.210 Å, I 50
- 66.94 deg, 1.398 Å, I 22
- 50.15 deg, 1.819 Å, I 13
- 51.01 deg, 1.790 Å, I 13
- 40.32 deg, 2.237 Å, I 13
- 59.12 deg, 1.563 Å, I 12
- 41.35 deg, 2.184 Å, I 12
- 73.65 deg, 1.286 Å, I 8
- 75.04 deg, 1.266 Å, I 8